# 1
# V3H8C2NO7
Computed powder diffraction line list, CuKα. Input: the GGA+U geometry in the Materials Project.
Intensities are scaled so that the largest is 100.

Most intense lines, 10° ≤ 2θ ≤ 90°, in order of falling intensity:
10.24°, I = 100; 31.25°, I = 21; 28.79°, I = 20; 26.96°, I = 14; 26.39°, I = 14; 25.61°, I = 14; 21.91°, I = 13; 14.04°, I = 12

Cell and atoms:
Unit cell a=7.925 b=6.754 c=8.744 alpha=90.00 beta=98.91 gamma=90.00
Space group P2_1 (No. 4)
Unique sites:
V 0.015 0.000 0.428 x2
V 0.289 0.223 0.652 x2
V 0.381 0.727 0.568 x2
H 0.026 0.499 0.018 x2
H 0.088 0.631 0.196 x2
H 0.132 0.369 0.186 x2
H 0.190 0.755 0.898 x2
H 0.272 0.866 0.082 x2
H 0.314 0.443 0.997 x2
H 0.383 0.547 0.169 x2
H 0.417 0.770 0.960 x2
C 0.121 0.510 0.123 x2
C 0.293 0.752 0.998 x2
N 0.289 0.554 0.073 x2
O 0.044 0.223 0.569 x2
O 0.055 0.060 0.255 x2
O 0.248 0.947 0.561 x2
O 0.249 0.509 0.588 x2
O 0.315 0.221 0.843 x2
O 0.470 0.248 0.281 x2
O 0.479 0.714 0.402 x2

---

# 2
# VH12C6NO4
Computed powder diffraction line list, CuKα. Input: the GGA+U geometry in the Materials Project.
Intensities are scaled so that the largest is 100.

Most intense lines, 10° ≤ 2θ ≤ 90°, in order of falling intensity:
15.37°, I = 100; 16.25°, I = 41; 15.97°, I = 40; 23.56°, I = 13; 20.93°, I = 11; 24.41°, I = 10; 23.69°, I = 10; 36.16°, I = 9

Cell and atoms:
Unit cell a=7.557 b=7.888 c=8.495 alpha=90.00 beta=91.98 gamma=90.00
Space group P2_1 (No. 4)
Unique sites:
V 0.202 0.000 0.253 x2
H 0.010 0.644 0.073 x2
H 0.038 0.033 0.751 x2
H 0.095 0.658 0.488 x2
H 0.160 0.286 0.632 x2
H 0.238 0.294 0.832 x2
H 0.239 0.754 0.933 x2
H 0.275 0.525 0.442 x2
H 0.301 0.513 0.110 x2
H 0.340 0.782 0.631 x2
H 0.452 0.636 0.227 x2
H 0.473 0.755 0.968 x2
H 0.486 0.760 0.473 x2
C 0.007 0.656 0.202 x2
C 0.118 0.299 0.754 x2
C 0.221 0.654 0.428 x2
C 0.328 0.641 0.157 x2
C 0.345 0.771 0.025 x2
C 0.347 0.786 0.502 x2
N 0.188 0.698 0.261 x2
O 0.036 0.460 0.773 x2
O 0.211 0.208 0.249 x2
O 0.300 0.952 0.449 x2
O 0.335 0.939 0.086 x2